For AsPtS, a structure optimized by DFT (GGA-PBE) gives the computed powder diffractogram in this record (Cu Ka).
Lines closer than 0.1° are merged.

Cell and atoms:
```
AsPtS
1.0
6.018 0.000 0.000
0.000 6.018 0.000
0.000 0.000 6.018
As Pt S
4 4 4
Cartesian
0.690 0.690 0.690
2.319 5.328 3.699
3.699 2.319 5.328
5.328 3.699 2.319
0.009 6.009 3.000
3.000 0.009 6.009
3.019 3.019 3.019
6.009 3.000 0.009
0.658 2.351 3.668
2.351 3.668 0.658
3.668 0.658 2.351
5.360 5.360 5.360
```

Largest 8 diffraction maxima, in order of falling intensity, 2θ from 10° to 90°:
2theta	I (rel.)	h k l
50.3	100.0	3 1 1
29.7	90.6	2 0 0
25.6	81.8	1 1 1
42.5	60.3	2 2 0
83.5	35.6	5 1 1
67.9	23.5	3 3 1
69.9	23.3	4 2 0
52.7	22.4	2 2 2

For SmAsPt, a structure optimized by DFT (GGA-PBE) gives the computed powder diffractogram in this record (Cu Ka).
Lines closer than 0.1° are merged.

Cell and atoms:
```
SmAsPt
1.0
4.332 0.000 0.000
-2.166 3.751 0.000
0.000 0.000 15.889
Sm As Pt
4 4 4
Cartesian
0.000 0.000 0.000
0.000 0.000 3.972
0.000 0.000 7.944
0.000 0.000 11.917
0.000 2.501 1.879
0.000 2.501 6.065
2.166 1.250 9.824
2.166 1.250 14.010
0.000 2.501 10.057
0.000 2.501 13.776
2.166 1.250 2.113
2.166 1.250 5.832
```

Largest 8 diffraction maxima, in order of falling intensity, 2θ from 10° to 90°:
2theta	I (rel.)	h k l
32.8	100.0	1 0 4
41.7	57.7	1 1 0
63.6	30.3	1 1 8
54.1	24.4	2 0 4
70.5	22.1	2 1 4
24.4	15.8	1 0 1
45.7	13.4	0 0 8
37.1	10.3	1 0 5

For SrAs2Pt2, a structure optimized by DFT (GGA-PBE) gives the computed powder diffractogram in this record (Cu Ka).
Lines closer than 0.1° are merged.

Cell and atoms:
```
SrAs2Pt2
1.0
10.094 0.000 0.000
0.000 4.526 0.000
-0.125 0.000 8.997
Sr As Pt
4 8 8
Cartesian
2.493 1.084 1.136
2.431 1.179 5.635
7.539 3.347 3.363
7.477 3.441 7.861
-0.010 3.375 1.112
-0.072 3.414 5.611
3.701 3.192 3.476
3.639 3.596 7.975
6.331 0.930 1.023
6.269 1.333 5.522
10.041 1.112 3.387
9.979 1.151 7.886
1.169 3.379 3.367
1.106 3.410 7.866
5.008 3.065 1.271
4.945 3.723 5.770
5.024 0.802 3.227
4.962 1.461 7.726
8.863 1.116 1.131
8.801 1.147 5.630
```

Largest 8 diffraction maxima, in order of falling intensity, 2θ from 10° to 90°:
2theta	I (rel.)	h k l
33.1	100.0	2 1 -2
40.1	82.0	0 0 4
33.4	69.2	2 1 2
39.8	62.5	0 2 0
33.2	60.3	3 1 0
17.6	59.0	2 0 0
45.6	51.6	4 1 -2
46.1	51.4	4 1 2